(1)
This entry pairs a crystal structure of YPa4As6 with its theoretical powder diffractogram. Radiation: Cu Kα (weighted mean of Kα1 and Kα2). Structure: the GGA-PBE geometry in Alexandria.
No peak broadening, texture or thermal motion is included.

Structural model:
```
data_YPa4As6
_chemical_formula_sum 'Y6 Pa24 As36'
_symmetry_space_group_name_H-M 'R -3 c'
_symmetry_Int_Tables_number 167
_symmetry_space_group_name_Hall '-R 3 2"c'
_cell_length_a 11.3068
_cell_length_b 11.3068
_cell_length_c 13.9914
_cell_angle_alpha 90.00
_cell_angle_beta 90.00
_cell_angle_gamma 120.00
loop_
_atom_site_label
_atom_site_fract_x
_atom_site_fract_y
_atom_site_fract_z
Y1 0.0000 0.0000 0.0000
Pa1 0.0000 0.0000 0.2500
Pa2 0.0000 0.3882 0.2500
As1 0.0319 0.2116 0.3838
```

Largest 12 diffraction maxima, by angle, 2θ = 5–70°:
- 2θ = 22.16°, rel. 35
- 2θ = 24.75°, rel. 65
- 2θ = 27.31°, rel. 100
- 2θ = 31.43°, rel. 64
- 2θ = 33.62°, rel. 87
- 2θ = 35.31°, rel. 52
- 2θ = 37.19°, rel. 68
- 2θ = 42.27°, rel. 44
- 2θ = 47.95°, rel. 29
- 2θ = 48.14°, rel. 42
- 2θ = 48.26°, rel. 30
- 2θ = 68.39°, rel. 29

=====

(2)
This entry pairs a crystal structure of Pa2ZnAs4 with its theoretical powder diffractogram. Radiation: Cu Kα (weighted mean of Kα1 and Kα2). Structure: the GGA-PBE geometry in Alexandria.
No peak broadening, texture or thermal motion is included.

Structural model:
```
data_Pa2ZnAs4
_chemical_formula_sum 'Pa2 Zn1 As4'
_symmetry_space_group_name_H-M 'P -4 m 2'
_symmetry_Int_Tables_number 115
_cell_length_a 4.0165
_cell_length_b 4.0165
_cell_length_c 9.3910
_cell_angle_alpha 90.00
_cell_angle_beta 90.00
_cell_angle_gamma 90.00
loop_
_symmetry_equiv_pos_as_xyz
'x,y,z'
'y,-x,-z'
'-x,-y,z'
'-y,x,-z'
'-x,y,z'
'-y,-x,-z'
'x,-y,z'
'y,x,-z'
loop_
_atom_site_label
_atom_site_fract_x
_atom_site_fract_y
_atom_site_fract_z
Pa1 0.0000 0.5000 0.2344
Zn1 0.0000 0.0000 0.5000
As1 0.0000 0.0000 0.0000
As2 0.0000 0.5000 0.6729
As3 0.5000 0.5000 0.0000
```

Largest 12 diffraction maxima, by angle, 2θ = 5–70°:
- 2θ = 18.90°, rel. 21
- 2θ = 24.10°, rel. 52
- 2θ = 29.26°, rel. 17
- 2θ = 31.50°, rel. 19
- 2θ = 36.39°, rel. 32
- 2θ = 36.99°, rel. 100
- 2θ = 38.34°, rel. 14
- 2θ = 45.15°, rel. 35
- 2θ = 51.82°, rel. 14
- 2θ = 53.89°, rel. 16
- 2θ = 59.32°, rel. 16
- 2θ = 60.68°, rel. 14

=====

(3)
This entry pairs a crystal structure of ZrPa3As4 with its theoretical powder diffractogram. Radiation: Cu Kα (weighted mean of Kα1 and Kα2). Structure: the GGA-PBE geometry in Alexandria.
No peak broadening, texture or thermal motion is included.

Structural model:
```
data_ZrPa3As4
_chemical_formula_sum 'Zr2 Pa6 As8'
_symmetry_space_group_name_H-M 'P 1 2/c 1'
_symmetry_Int_Tables_number 13
_cell_length_a 6.9712
_cell_length_b 8.1239
_cell_length_c 7.0091
_cell_angle_alpha 90.00
_cell_angle_beta 109.76
_cell_angle_gamma 90.00
loop_
_symmetry_equiv_pos_as_xyz
'x,y,z'
'-x,-y,-z'
'-x,y,-z+1/2'
'x,-y,z+1/2'
loop_
_atom_site_label
_atom_site_fract_x
_atom_site_fract_y
_atom_site_fract_z
Zr1 0.0000 0.1257 0.2500
Pa1 0.0000 0.3737 0.7500
Pa2 0.5000 0.1254 0.7500
Pa3 0.5000 0.3744 0.2500
As1 0.2406 0.1190 0.0002
As2 0.2442 0.3696 0.4943
```

Largest 12 diffraction maxima, by angle, 2θ = 5–70°:
- 2θ = 26.93°, rel. 17
- 2θ = 27.03°, rel. 9
- 2θ = 27.18°, rel. 9
- 2θ = 31.30°, rel. 100
- 2θ = 44.62°, rel. 13
- 2θ = 44.75°, rel. 25
- 2θ = 44.94°, rel. 25
- 2θ = 45.09°, rel. 12
- 2θ = 55.50°, rel. 13
- 2θ = 55.74°, rel. 7
- 2θ = 56.07°, rel. 6
- 2θ = 65.29°, rel. 12

=====

(4)
This entry pairs a crystal structure of ZrPaAs with its theoretical powder diffractogram. Radiation: Cu Kα (weighted mean of Kα1 and Kα2). Structure: the GGA-PBE geometry in Alexandria.
No peak broadening, texture or thermal motion is included.

Structural model:
```
data_ZrPaAs
_chemical_formula_sum 'Zr4 Pa4 As4'
_symmetry_space_group_name_H-M 'P 42/m'
_symmetry_Int_Tables_number 84
_cell_length_a 8.5407
_cell_length_b 8.5407
_cell_length_c 3.8783
_cell_angle_alpha 90.00
_cell_angle_beta 90.00
_cell_angle_gamma 90.00
loop_
_symmetry_equiv_pos_as_xyz
'x,y,z'
'-x,-y,-z'
'-y,x,z+1/2'
'y,-x,-z+1/2'
'-x,-y,z'
'x,y,-z'
'y,-x,z+1/2'
'-y,x,-z+1/2'
loop_
_atom_site_label
_atom_site_fract_x
_atom_site_fract_y
_atom_site_fract_z
Zr1 0.0433 0.7903 0.0000
Pa1 0.3572 0.6313 0.5000
As1 0.1182 0.3590 0.5000
```

Largest 12 diffraction maxima, by angle, 2θ = 5–70°:
- 2θ = 10.36°, rel. 58
- 2θ = 14.67°, rel. 27
- 2θ = 31.42°, rel. 27
- 2θ = 32.91°, rel. 100
- 2θ = 33.17°, rel. 13
- 2θ = 37.76°, rel. 61
- 2θ = 42.33°, rel. 17
- 2θ = 43.70°, rel. 18
- 2θ = 46.85°, rel. 18
- 2θ = 53.66°, rel. 14
- 2θ = 60.18°, rel. 14
- 2θ = 63.36°, rel. 15

=====

(5)
This entry pairs a crystal structure of AsPb8 with its theoretical powder diffractogram. Radiation: Cu Kα (weighted mean of Kα1 and Kα2). Structure: the GGA-PBE geometry in Alexandria.
No peak broadening, texture or thermal motion is included.

Structural model:
```
data_AsPb8
_chemical_formula_sum 'As2 Pb16'
_symmetry_space_group_name_H-M 'I 4/m m m'
_symmetry_Int_Tables_number 139
_symmetry_space_group_name_Hall '-I 4 2'
_cell_length_a 10.9374
_cell_length_b 10.9374
_cell_length_c 4.5675
_cell_angle_alpha 90.00
_cell_angle_beta 90.00
_cell_angle_gamma 90.00
loop_
_atom_site_label
_atom_site_fract_x
_atom_site_fract_y
_atom_site_fract_z
As1 0.0000 0.0000 0.0000
Pb1 0.0000 0.3333 0.0000
Pb2 0.1579 0.1579 0.5000
```

Largest 12 diffraction maxima, by angle, 2θ = 5–70°:
- 2θ = 21.08°, rel. 2
- 2θ = 23.00°, rel. 1
- 2θ = 26.70°, rel. 2
- 2θ = 31.39°, rel. 100
- 2θ = 34.80°, rel. 38
- 2θ = 39.46°, rel. 14
- 2θ = 46.00°, rel. 2
- 2θ = 50.04°, rel. 13
- 2θ = 53.61°, rel. 23
- 2θ = 60.27°, rel. 31
- 2θ = 65.52°, rel. 12
- 2θ = 66.56°, rel. 12

=====

(6)
This entry pairs a crystal structure of AsPb with its theoretical powder diffractogram. Radiation: Cu Kα (weighted mean of Kα1 and Kα2). Structure: the GGA-PBE geometry in Alexandria.
No peak broadening, texture or thermal motion is included.

Structural model:
```
data_AsPb
_chemical_formula_sum 'As1 Pb1'
_symmetry_space_group_name_H-M 'P m -3 m'
_symmetry_Int_Tables_number 221
_symmetry_space_group_name_Hall '-P 4 2 3'
_cell_length_a 3.6993
_cell_length_b 3.6993
_cell_length_c 3.6993
_cell_angle_alpha 90.00
_cell_angle_beta 90.00
_cell_angle_gamma 90.00
loop_
_atom_site_label
_atom_site_fract_x
_atom_site_fract_y
_atom_site_fract_z
As1 0.0000 0.0000 0.0000
Pb1 0.5000 0.5000 0.5000
```

Largest 6 diffraction maxima, by angle, 2θ = 5–70°:
- 2θ = 24.06°, rel. 24
- 2θ = 34.28°, rel. 100
- 2θ = 42.32°, rel. 8
- 2θ = 49.26°, rel. 18
- 2θ = 55.55°, rel. 11
- 2θ = 61.39°, rel. 38

=====

(7)
This entry pairs a crystal structure of AsPb2 with its theoretical powder diffractogram. Radiation: Cu Kα (weighted mean of Kα1 and Kα2). Structure: the GGA-PBE geometry in Alexandria.
No peak broadening, texture or thermal motion is included.

Structural model:
```
data_AsPb2
_chemical_formula_sum 'As1 Pb2'
_symmetry_space_group_name_H-M 'P -3 m 1'
_symmetry_Int_Tables_number 164
_symmetry_space_group_name_Hall '-P 3 2"'
_cell_length_a 4.1253
_cell_length_b 4.1253
_cell_length_c 6.1746
_cell_angle_alpha 90.00
_cell_angle_beta 90.00
_cell_angle_gamma 120.00
loop_
_atom_site_label
_atom_site_fract_x
_atom_site_fract_y
_atom_site_fract_z
As1 0.0000 0.0000 0.0000
Pb1 0.3333 0.6667 0.2828
```

Largest 11 diffraction maxima, by angle, 2θ = 5–70°:
- 2θ = 24.92°, rel. 8
- 2θ = 28.88°, rel. 100
- 2θ = 38.54°, rel. 29
- 2θ = 43.91°, rel. 30
- 2θ = 51.22°, rel. 13
- 2θ = 53.41°, rel. 28
- 2θ = 59.82°, rel. 8
- 2θ = 59.92°, rel. 2
- 2θ = 63.89°, rel. 7
- 2θ = 65.92°, rel. 5
- 2θ = 69.69°, rel. 6

=====

(8)
This entry pairs a crystal structure of As5Pb with its theoretical powder diffractogram. Radiation: Cu Kα (weighted mean of Kα1 and Kα2). Structure: the GGA-PBE geometry in Alexandria.
No peak broadening, texture or thermal motion is included.

Structural model:
```
data_As5Pb
_chemical_formula_sum 'As5 Pb1'
_symmetry_space_group_name_H-M 'P -6 2 m'
_symmetry_Int_Tables_number 189
_symmetry_space_group_name_Hall 'P -6 -2'
_cell_length_a 5.7693
_cell_length_b 5.7693
_cell_length_c 4.5484
_cell_angle_alpha 90.00
_cell_angle_beta 90.00
_cell_angle_gamma 120.00
loop_
_atom_site_label
_atom_site_fract_x
_atom_site_fract_y
_atom_site_fract_z
As1 0.0000 0.5880 0.0000
As2 0.3333 0.6667 0.5000
Pb1 0.0000 0.0000 0.5000
```

Largest 12 diffraction maxima, by angle, 2θ = 5–70°:
- 2θ = 26.50°, rel. 33
- 2θ = 31.00°, rel. 31
- 2θ = 35.95°, rel. 17
- 2θ = 36.90°, rel. 100
- 2θ = 39.63°, rel. 21
- 2θ = 51.15°, rel. 16
- 2θ = 52.47°, rel. 11
- 2θ = 54.57°, rel. 11
- 2θ = 55.15°, rel. 14
- 2θ = 59.07°, rel. 8
- 2θ = 64.62°, rel. 6
- 2θ = 68.21°, rel. 9

=====

(9)
This entry pairs a crystal structure of As2Pd7Pb with its theoretical powder diffractogram. Radiation: Cu Kα (weighted mean of Kα1 and Kα2). Structure: the GGA-PBE geometry in Alexandria.
No peak broadening, texture or thermal motion is included.

Structural model:
```
data_As2Pd7Pb
_chemical_formula_sum 'As4 Pd14 Pb2'
_symmetry_space_group_name_H-M 'I 4/m m m'
_symmetry_Int_Tables_number 139
_symmetry_space_group_name_Hall '-I 4 2'
_cell_length_a 4.0907
_cell_length_b 4.0907
_cell_length_c 20.6754
_cell_angle_alpha 90.00
_cell_angle_beta 90.00
_cell_angle_gamma 90.00
loop_
_atom_site_label
_atom_site_fract_x
_atom_site_fract_y
_atom_site_fract_z
As1 0.0000 0.0000 0.1740
Pd1 0.0000 0.0000 0.0000
Pd2 0.0000 0.5000 0.1041
Pd3 0.0000 0.5000 0.2500
Pb1 0.0000 0.0000 0.5000
```

Largest 12 diffraction maxima, by angle, 2θ = 5–70°:
- 2θ = 8.55°, rel. 13
- 2θ = 25.32°, rel. 22
- 2θ = 32.13°, rel. 21
- 2θ = 34.71°, rel. 16
- 2θ = 35.57°, rel. 26
- 2θ = 40.73°, rel. 100
- 2θ = 44.28°, rel. 50
- 2θ = 45.26°, rel. 6
- 2θ = 51.70°, rel. 7
- 2θ = 57.46°, rel. 15
- 2θ = 64.04°, rel. 7
- 2θ = 64.42°, rel. 16

=====

(10)
This entry pairs a crystal structure of As7Pd12Pb2 with its theoretical powder diffractogram. Radiation: Cu Kα (weighted mean of Kα1 and Kα2). Structure: the GGA-PBE geometry in Alexandria.
No peak broadening, texture or thermal motion is included.

Structural model:
```
data_As7Pd12Pb2
_chemical_formula_sum 'As7 Pd12 Pb2'
_symmetry_space_group_name_H-M 'P -3'
_symmetry_Int_Tables_number 147
_cell_length_a 10.3619
_cell_length_b 10.3619
_cell_length_c 4.0267
_cell_angle_alpha 90.00
_cell_angle_beta 90.00
_cell_angle_gamma 120.00
loop_
_symmetry_equiv_pos_as_xyz
'x,y,z'
'-x,-y,-z'
'-y,x-y,z'
'y,-x+y,-z'
'-x+y,-x,z'
'x-y,x,-z'
loop_
_atom_site_label
_atom_site_fract_x
_atom_site_fract_y
_atom_site_fract_z
As1 0.0000 0.0000 0.0000
As2 0.1067 0.4024 0.2473
Pd1 0.0687 0.6270 0.2494
Pd2 0.1165 0.8644 0.7372
Pb1 0.3333 0.6667 0.7513
```

Largest 12 diffraction maxima, by angle, 2θ = 5–70°:
- 2θ = 29.85°, rel. 9
- 2θ = 34.58°, rel. 100
- 2θ = 37.45°, rel. 8
- 2θ = 40.20°, rel. 8
- 2θ = 42.71°, rel. 9
- 2θ = 43.98°, rel. 7
- 2θ = 45.03°, rel. 16
- 2θ = 46.36°, rel. 24
- 2θ = 49.74°, rel. 9
- 2θ = 59.08°, rel. 13
- 2θ = 61.95°, rel. 9
- 2θ = 66.64°, rel. 13

=====

(11)
This entry pairs a crystal structure of Sr2AsPd6Pb with its theoretical powder diffractogram. Radiation: Cu Kα (weighted mean of Kα1 and Kα2). Structure: the GGA-PBE geometry in Alexandria.
No peak broadening, texture or thermal motion is included.

Structural model:
```
data_Sr2AsPd6Pb
_chemical_formula_sum 'Sr4 As2 Pd12 Pb2'
_symmetry_space_group_name_H-M 'P m m n'
_symmetry_Int_Tables_number 59
_cell_length_a 5.7002
_cell_length_b 8.9980
_cell_length_c 8.7385
_cell_angle_alpha 90.00
_cell_angle_beta 90.00
_cell_angle_gamma 90.00
loop_
_symmetry_equiv_pos_as_xyz
'x,y,z'
'-x,-y,-z'
'-x+1/2,-y+1/2,z'
'x+1/2,y+1/2,-z'
'x+1/2,-y,-z'
'-x+1/2,y,z'
'-x,y+1/2,-z'
'x,-y+1/2,z'
loop_
_atom_site_label
_atom_site_fract_x
_atom_site_fract_y
_atom_site_fract_z
Sr1 0.2500 0.9998 0.2292
As1 0.2500 0.2500 0.7328
Pd1 0.0039 0.7500 0.5033
Pd2 0.0062 0.2500 0.9658
Pd3 0.2500 0.0031 0.5948
Pb1 0.2500 0.7500 0.7772
```

Largest 12 diffraction maxima, by angle, 2θ = 5–70°:
- 2θ = 10.12°, rel. 19
- 2θ = 18.58°, rel. 26
- 2θ = 19.73°, rel. 23
- 2θ = 27.24°, rel. 45
- 2θ = 32.60°, rel. 23
- 2θ = 37.35°, rel. 26
- 2θ = 37.68°, rel. 51
- 2θ = 40.11°, rel. 100
- 2θ = 42.89°, rel. 42
- 2θ = 46.20°, rel. 19
- 2θ = 56.18°, rel. 32
- 2θ = 61.84°, rel. 19

=====

(12)
This entry pairs a crystal structure of PmAs2Pt7Pb2 with its theoretical powder diffractogram. Radiation: Cu Kα (weighted mean of Kα1 and Kα2). Structure: the GGA-PBE geometry in Alexandria.
No peak broadening, texture or thermal motion is included.

Structural model:
```
data_PmAs2Pt7Pb2
_chemical_formula_sum 'Pm2 As4 Pt14 Pb4'
_symmetry_space_group_name_H-M 'C 1 2/m 1'
_symmetry_Int_Tables_number 12
_cell_length_a 5.7077
_cell_length_b 5.7084
_cell_length_c 15.9261
_cell_angle_alpha 90.00
_cell_angle_beta 100.26
_cell_angle_gamma 90.00
loop_
_symmetry_equiv_pos_as_xyz
'x,y,z'
'-x,-y,-z'
'-x,y,-z'
'x,-y,z'
'x+1/2,y+1/2,z'
'-x+1/2,-y+1/2,-z'
'-x+1/2,y+1/2,-z'
'x+1/2,-y+1/2,z'
loop_
_atom_site_label
_atom_site_fract_x
_atom_site_fract_y
_atom_site_fract_z
Pm1 0.0000 0.0000 0.0000
As1 0.1171 0.5000 0.2355
Pt1 0.0000 0.5000 0.0000
Pt2 0.1800 0.2502 0.8580
Pt3 0.1963 0.5000 0.3906
Pb1 0.2123 0.0000 0.4245
```

Largest 12 diffraction maxima, by angle, 2θ = 5–70°:
- 2θ = 5.64°, rel. 44
- 2θ = 11.29°, rel. 34
- 2θ = 22.70°, rel. 32
- 2θ = 28.48°, rel. 29
- 2θ = 31.87°, rel. 70
- 2θ = 33.41°, rel. 44
- 2θ = 35.85°, rel. 100
- 2θ = 39.05°, rel. 32
- 2θ = 42.85°, rel. 80
- 2θ = 44.92°, rel. 93
- 2θ = 61.90°, rel. 33
- 2θ = 65.40°, rel. 31

=====

(13)
This entry pairs a crystal structure of Pr2AsPb with its theoretical powder diffractogram. Radiation: Cu Kα (weighted mean of Kα1 and Kα2). Structure: the GGA-PBE geometry in Alexandria.
No peak broadening, texture or thermal motion is included.

Structural model:
```
data_Pr2AsPb
_chemical_formula_sum 'Pr8 As4 Pb4'
_symmetry_space_group_name_H-M 'C m c m'
_symmetry_Int_Tables_number 63
_symmetry_space_group_name_Hall '-C 2c 2'
_cell_length_a 4.5296
_cell_length_b 24.3662
_cell_length_c 4.4315
_cell_angle_alpha 90.00
_cell_angle_beta 90.00
_cell_angle_gamma 90.00
loop_
_atom_site_label
_atom_site_fract_x
_atom_site_fract_y
_atom_site_fract_z
Pr1 0.0000 0.0692 0.2500
Pr2 0.0000 0.3099 0.2500
As1 0.0000 0.1890 0.2500
Pb1 0.0000 0.4528 0.2500
```

Largest 12 diffraction maxima, by angle, 2θ = 5–70°:
- 2θ = 7.26°, rel. 46
- 2θ = 28.41°, rel. 100
- 2θ = 29.32°, rel. 55
- 2θ = 30.29°, rel. 33
- 2θ = 33.75°, rel. 39
- 2θ = 38.42°, rel. 64
- 2θ = 39.80°, rel. 31
- 2θ = 40.72°, rel. 29
- 2θ = 50.20°, rel. 25
- 2θ = 50.97°, rel. 24
- 2θ = 58.25°, rel. 21
- 2θ = 66.54°, rel. 21